Structure and computed X-ray powder pattern of NpWN (DFT lattice parameters and positions (GGA-PBE); Cu Kα (weighted mean of Kα1 and Kα2)).

Structural model:
```
NpWN
1.0
11.064 0.000 0.000
0.000 3.045 0.000
0.000 0.000 5.275
Np W N
4 4 4
Cartesian
0.000 0.000 0.000
0.000 1.522 2.638
5.532 0.000 0.008
5.532 1.522 2.645
2.810 0.000 1.758
2.810 1.522 4.396
8.254 0.000 1.758
8.254 1.522 4.396
1.641 0.000 3.517
1.641 1.522 0.879
9.423 0.000 3.517
9.423 1.522 0.879
```

Peak list (10 most intense, 2θ = 15–90°, in order of rising 2θ)
32.37 deg, d = 2.766 Å, I 31
34.00 deg, d = 2.637 Å, I 20
37.79 deg, d = 2.380 Å, I 100
47.65 deg, d = 1.909 Å, I 20
60.84 deg, d = 1.523 Å, I 18
61.35 deg, d = 1.511 Å, I 25
70.62 deg, d = 1.334 Å, I 21
73.89 deg, d = 1.283 Å, I 15
78.02 deg, d = 1.225 Å, I 4
80.74 deg, d = 1.190 Å, I 4

=====

Structure and computed X-ray powder pattern of Y5NpN6 (DFT lattice parameters and positions (GGA-PBE); Cu Kα (weighted mean of Kα1 and Kα2)).

Structural model:
```
Y5NpN6
1.0
3.000 -5.198 0.000
3.000 5.198 0.000
-1.997 0.000 5.655
Y Np N
5 1 6
Cartesian
0.000 0.000 0.000
2.002 3.468 2.827
3.000 1.746 0.000
3.000 -1.746 0.000
2.002 -3.468 2.827
2.002 0.000 2.827
1.042 1.661 1.455
0.097 0.000 4.181
1.042 -1.661 1.455
2.961 1.661 4.200
3.906 0.000 1.474
2.961 -1.661 4.200
```

Peak list (10 most intense, 2θ = 15–90°, in order of rising 2θ)
17.85 deg, d = 4.970 Å, I 11
20.04 deg, d = 4.430 Å, I 8
31.63 deg, d = 2.829 Å, I 100
36.69 deg, d = 2.450 Å, I 81
52.86 deg, d = 1.732 Å, I 54
62.92 deg, d = 1.477 Å, I 45
66.06 deg, d = 1.414 Å, I 18
78.02 deg, d = 1.225 Å, I 8
86.62 deg, d = 1.124 Å, I 16
89.45 deg, d = 1.095 Å, I 24

=====

Structure and computed X-ray powder pattern of YNp2N3 (DFT lattice parameters and positions (GGA-PBE); Cu Kα (weighted mean of Kα1 and Kα2)).

Structural model:
```
YNp2N3
1.0
3.467 0.000 0.000
0.000 3.467 0.000
0.000 0.000 14.605
Y Np N
2 4 6
Cartesian
0.000 0.000 0.000
1.734 1.734 7.303
0.000 0.000 4.878
0.000 0.000 9.727
1.734 1.734 2.424
1.734 1.734 12.181
0.000 0.000 2.450
0.000 0.000 7.303
0.000 0.000 12.155
1.734 1.734 0.000
1.734 1.734 4.852
1.734 1.734 9.753
```

Peak list (10 most intense, 2θ = 15–90°, in order of rising 2θ)
26.42 deg, d = 3.373 Å, I 12
31.68 deg, d = 2.824 Å, I 100
36.66 deg, d = 2.452 Å, I 46
36.93 deg, d = 2.434 Å, I 22
52.81 deg, d = 1.734 Å, I 16
53.01 deg, d = 1.727 Å, I 32
62.91 deg, d = 1.477 Å, I 30
63.27 deg, d = 1.470 Å, I 15
66.18 deg, d = 1.412 Å, I 16
86.89 deg, d = 1.121 Å, I 13

=====

Structure and computed X-ray powder pattern of YZr2NpN4 (DFT lattice parameters and positions (GGA-PBE); Cu Kα (weighted mean of Kα1 and Kα2)).

Structural model:
```
YZr2NpN4
1.0
4.745 0.000 0.000
0.000 4.745 0.000
0.000 0.000 9.485
Y Zr Np N
2 4 2 8
Cartesian
0.000 0.000 0.000
2.373 2.373 4.743
0.000 0.000 4.743
0.000 2.373 2.371
2.373 0.000 7.114
2.373 2.373 0.000
0.000 2.373 7.114
2.373 0.000 2.371
0.000 0.000 2.421
0.000 0.000 7.064
0.000 2.373 4.757
0.000 2.373 9.470
2.373 0.000 0.015
2.373 0.000 4.728
2.373 2.373 2.321
2.373 2.373 7.164
```

Peak list (10 most intense, 2θ = 15–90°, in order of rising 2θ)
18.71 deg, d = 4.743 Å, I 9
20.93 deg, d = 4.244 Å, I 26
32.69 deg, d = 2.739 Å, I 100
34.07 deg, d = 2.631 Å, I 8
37.93 deg, d = 2.372 Å, I 77
43.71 deg, d = 2.071 Å, I 9
51.90 deg, d = 1.762 Å, I 8
54.72 deg, d = 1.677 Å, I 51
65.22 deg, d = 1.430 Å, I 43
68.51 deg, d = 1.370 Å, I 17

=====

Structure and computed X-ray powder pattern of NpZn4N4 (DFT lattice parameters and positions (GGA-PBE); Cu Kα (weighted mean of Kα1 and Kα2)).

Structural model:
```
NpZn4N4
1.0
4.528 -3.757 0.000
4.528 3.757 0.000
0.000 0.000 7.025
Np Zn N
2 8 8
Cartesian
4.528 2.638 5.268
4.528 -2.638 1.756
3.196 2.034 1.756
3.131 0.000 0.000
3.131 0.000 3.512
5.859 2.034 1.756
3.196 -2.034 5.268
5.925 0.000 0.000
5.925 0.000 3.512
5.859 -2.034 5.268
2.069 0.183 1.756
2.069 -0.183 5.268
4.528 1.623 0.148
4.528 1.623 3.364
4.528 -1.623 3.661
4.528 -1.623 6.876
6.987 0.183 1.756
6.987 -0.183 5.268
```

Peak list (10 most intense, 2θ = 15–90°, in order of rising 2θ)
19.89 deg, d = 4.465 Å, I 35
26.91 deg, d = 3.313 Å, I 36
29.76 deg, d = 3.002 Å, I 85
31.95 deg, d = 2.801 Å, I 36
33.52 deg, d = 2.674 Å, I 55
34.47 deg, d = 2.602 Å, I 100
34.97 deg, d = 2.566 Å, I 44
37.24 deg, d = 2.414 Å, I 41
50.82 deg, d = 1.796 Å, I 36
54.29 deg, d = 1.690 Å, I 30

=====

Structure and computed X-ray powder pattern of NpZn4N5 (DFT lattice parameters and positions (GGA-PBE); Cu Kα (weighted mean of Kα1 and Kα2)).

Structural model:
```
NpZn4N5
1.0
-3.459 3.459 2.566
3.459 -3.459 2.566
3.459 3.459 -2.566
Np Zn N
1 4 5
Cartesian
0.000 0.000 0.000
3.459 1.397 0.303
1.397 3.459 0.303
2.062 0.000 2.869
0.000 2.062 2.869
3.459 -1.439 2.409
0.000 0.000 2.488
3.459 1.439 2.409
-1.439 3.459 2.409
1.439 3.459 2.409
```

Peak list (10 most intense, 2θ = 15–90°, in order of rising 2θ)
18.14 deg, d = 4.891 Å, I 20
21.56 deg, d = 4.121 Å, I 28
25.76 deg, d = 3.459 Å, I 32
33.83 deg, d = 2.649 Å, I 100
34.97 deg, d = 2.566 Å, I 28
41.27 deg, d = 2.187 Å, I 26
43.94 deg, d = 2.061 Å, I 15
55.18 deg, d = 1.665 Å, I 20
62.00 deg, d = 1.497 Å, I 15
76.44 deg, d = 1.246 Å, I 15

=====

Structure and computed X-ray powder pattern of Zr2NpN3 (DFT lattice parameters and positions (GGA-PBE); Cu Kα (weighted mean of Kα1 and Kα2)).

Structural model:
```
Zr2NpN3
1.0
3.313 0.000 0.000
0.000 4.685 0.000
0.000 0.000 10.021
Zr Np N
4 2 6
Cartesian
0.000 0.000 1.698
0.000 0.000 8.323
1.657 2.343 3.313
1.657 2.343 6.708
0.000 0.000 5.010
1.657 2.343 0.000
0.000 2.343 1.695
0.000 2.343 5.010
0.000 2.343 8.325
1.657 0.000 0.000
1.657 0.000 3.315
1.657 0.000 6.706
```

Peak list (10 most intense, 2θ = 15–90°, in order of rising 2θ)
17.70 deg, d = 5.010 Å, I 26
20.93 deg, d = 4.244 Å, I 40
28.37 deg, d = 3.146 Å, I 20
32.93 deg, d = 2.720 Å, I 100
33.12 deg, d = 2.705 Å, I 99
38.26 deg, d = 2.352 Å, I 98
38.43 deg, d = 2.343 Å, I 49
55.35 deg, d = 1.660 Å, I 66
65.70 deg, d = 1.421 Å, I 29
66.04 deg, d = 1.415 Å, I 43

=====

Structure and computed X-ray powder pattern of RbPNO2 (DFT lattice parameters and positions (GGA-PBE); Cu Kα (weighted mean of Kα1 and Kα2)).

Structural model:
```
RbPNO2
1.0
6.618 3.821 3.835
-6.618 3.821 3.835
0.000 -7.642 3.835
Rb P N O
6 6 6 12
Cartesian
-3.929 0.845 4.796
-2.696 -2.980 6.709
1.232 -3.825 4.796
-1.232 3.825 6.709
2.696 2.980 4.796
3.929 -0.845 6.709
-0.858 -1.493 2.880
-0.864 1.490 2.880
1.722 0.004 2.880
-1.722 -0.004 8.625
0.864 -1.490 8.625
0.858 1.493 8.625
-1.592 -0.003 2.881
0.799 -1.377 2.881
0.793 1.381 2.881
-0.793 -1.381 8.624
-0.799 1.377 8.624
1.592 0.003 8.624
-5.337 -1.624 6.072
-1.262 -5.435 5.434
-1.254 -2.216 4.159
-4.075 3.810 5.434
-1.292 2.194 4.159
-2.546 -0.022 7.346
2.546 0.022 4.159
1.292 -2.194 7.346
4.075 -3.810 6.072
1.254 2.216 7.346
1.262 5.435 6.072
5.337 1.624 5.434
```

Peak list (10 most intense, 2θ = 15–90°, in order of rising 2θ)
17.25 deg, d = 5.142 Å, I 13
21.89 deg, d = 4.060 Å, I 63
26.88 deg, d = 3.317 Å, I 55
29.14 deg, d = 3.064 Å, I 100
32.17 deg, d = 2.783 Å, I 30
34.91 deg, d = 2.570 Å, I 24
42.43 deg, d = 2.130 Å, I 44
44.60 deg, d = 2.032 Å, I 13
47.55 deg, d = 1.912 Å, I 15
58.59 deg, d = 1.576 Å, I 11

=====

Structure and computed X-ray powder pattern of SrP4N2O12 (DFT lattice parameters and positions (GGA-PBE); Cu Kα (weighted mean of Kα1 and Kα2)).

Structural model:
```
SrP4N2O12
1.0
-4.117 4.117 4.963
4.117 -4.117 4.963
4.117 4.117 -4.963
Sr P N O
1 4 2 12
Cartesian
0.000 0.000 0.000
2.893 -1.599 2.276
5.717 -1.224 2.687
2.518 1.224 2.687
5.342 1.599 2.276
0.000 4.117 1.925
0.000 4.117 3.038
4.411 -1.415 1.734
2.827 2.827 -3.137
1.528 1.949 -1.109
2.703 -0.294 3.230
6.285 1.528 1.109
1.291 1.290 1.826
3.823 1.415 1.734
5.532 0.294 3.230
2.589 2.168 3.855
5.407 2.827 3.137
-2.168 2.589 6.072
-1.290 1.291 8.100
```

Peak list (10 most intense, 2θ = 15–90°, in order of rising 2θ)
17.87 deg, d = 4.963 Å, I 41
23.55 deg, d = 3.777 Å, I 86
25.80 deg, d = 3.453 Å, I 100
28.16 deg, d = 3.169 Å, I 47
30.71 deg, d = 2.911 Å, I 28
33.88 deg, d = 2.646 Å, I 38
36.51 deg, d = 2.461 Å, I 26
39.06 deg, d = 2.306 Å, I 24
40.53 deg, d = 2.226 Å, I 26
42.80 deg, d = 2.113 Å, I 45

=====

Structure and computed X-ray powder pattern of ZnP3NO9 (DFT lattice parameters and positions (GGA-PBE); Cu Kα (weighted mean of Kα1 and Kα2)).

Structural model:
```
ZnP3NO9
1.0
6.794 0.000 0.000
-3.397 5.884 0.000
0.000 0.000 9.920
Zn P N O
2 6 2 18
Cartesian
0.000 0.000 0.000
0.000 0.000 4.960
2.227 0.690 2.480
1.711 1.584 7.440
4.567 0.690 7.440
2.881 3.610 2.480
5.083 1.584 2.480
3.913 3.610 7.440
0.000 3.923 0.000
0.000 3.923 4.960
1.720 0.105 1.195
1.720 0.105 3.765
0.951 1.437 6.155
0.951 1.437 8.725
2.967 0.568 7.440
1.975 2.285 2.480
3.828 0.568 2.480
2.406 3.031 7.440
5.074 0.105 6.155
5.074 0.105 8.725
2.628 4.342 1.195
2.628 4.342 3.765
4.819 2.285 7.440
4.388 3.031 2.480
5.843 1.437 1.195
5.843 1.437 3.765
4.166 4.342 6.155
4.166 4.342 8.725
```

Peak list (10 most intense, 2θ = 15–90°, in order of rising 2θ)
15.06 deg, d = 5.884 Å, I 94
17.88 deg, d = 4.960 Å, I 10
23.46 deg, d = 3.792 Å, I 100
27.76 deg, d = 3.214 Å, I 34
30.38 deg, d = 2.942 Å, I 18
31.93 deg, d = 2.803 Å, I 56
35.48 deg, d = 2.530 Å, I 16
41.62 deg, d = 2.170 Å, I 14
47.98 deg, d = 1.896 Å, I 14
55.50 deg, d = 1.656 Å, I 25

=====

Structure and computed X-ray powder pattern of Pa2NO3 (DFT lattice parameters and positions (GGA-PBE); Cu Kα (weighted mean of Kα1 and Kα2)).

Structural model:
```
Pa2NO3
1.0
-2.757 5.719 2.659
2.757 -5.719 2.659
2.757 5.719 -2.659
Pa N O
4 2 6
Cartesian
1.254 1.318 0.000
1.254 -1.318 2.659
1.503 7.036 0.000
1.503 4.401 2.659
0.000 0.000 1.330
0.000 0.000 3.989
1.942 -3.374 2.659
2.757 0.000 1.330
1.942 3.374 0.000
0.814 2.345 2.659
0.000 5.719 1.330
0.814 9.092 0.000
```

Peak list (10 most intense, 2θ = 15–90°, in order of rising 2θ)
28.05 deg, d = 3.181 Å, I 100
31.28 deg, d = 2.859 Å, I 16
32.48 deg, d = 2.757 Å, I 16
33.70 deg, d = 2.659 Å, I 18
45.72 deg, d = 1.985 Å, I 15
46.64 deg, d = 1.947 Å, I 14
47.50 deg, d = 1.914 Å, I 15
53.72 deg, d = 1.706 Å, I 18
55.27 deg, d = 1.662 Å, I 15
56.88 deg, d = 1.619 Å, I 15

=====

Structure and computed X-ray powder pattern of Pa9N14O2 (DFT lattice parameters and positions (GGA-PBE); Cu Kα (weighted mean of Kα1 and Kα2)).

Structural model:
```
Pa9N14O2
1.0
6.665 0.000 0.000
-3.333 5.772 0.000
0.000 0.000 9.387
Pa N O
9 14 2
Cartesian
0.000 0.000 0.000
-0.960 1.901 3.197
-1.206 5.653 3.197
1.166 1.782 6.190
0.000 3.848 0.115
3.333 1.924 9.272
2.166 3.991 3.197
4.539 0.119 6.190
4.293 3.871 6.190
0.000 0.000 2.386
0.000 0.000 7.000
-2.061 3.863 8.492
-0.969 2.084 5.552
-1.044 5.570 5.552
1.017 2.056 8.492
2.289 0.147 0.895
1.320 1.881 3.835
2.013 3.892 5.552
1.043 5.625 8.492
2.316 3.716 0.895
4.377 0.203 3.835
4.301 3.689 3.835
5.393 1.909 0.895
0.000 3.848 2.421
3.333 1.924 6.966
```

Peak list (10 most intense, 2θ = 15–90°, in order of rising 2θ)
28.42 deg, d = 3.141 Å, I 100
28.53 deg, d = 3.129 Å, I 33
32.96 deg, d = 2.717 Å, I 54
47.24 deg, d = 1.924 Å, I 29
47.38 deg, d = 1.919 Å, I 30
56.09 deg, d = 1.640 Å, I 43
56.24 deg, d = 1.636 Å, I 15
58.80 deg, d = 1.570 Å, I 11
76.27 deg, d = 1.248 Å, I 11
78.86 deg, d = 1.214 Å, I 9